Nb3Cr3C: theoretical PXRD pattern (Cu Kα (λ = 1.5418 Å)), based on a DFT-relaxed cell (PBE, Alexandria).
Lines closer than 0.1° are merged.

Main lines, sorted by position (5° ≤ 2θ ≤ 70°):
2theta, d_spacing, I/Imax
30.93, 2.891, 9
33.79, 2.653, 20
38.13, 2.360, 45
40.54, 2.225, 100
44.31, 2.044, 28
47.16, 1.927, 6
56.86, 1.619, 9
61.61, 1.505, 6
66.15, 1.413, 10
68.90, 1.363, 40

Cell and atoms:
```
data_Nb3Cr3C
_chemical_formula_sum 'Nb12 Cr12 C4'
_symmetry_space_group_name_H-M 'P 1'
_symmetry_Int_Tables_number 1
_cell_length_a 8.1765
_cell_length_b 8.1765
_cell_length_c 8.1765
_cell_angle_alpha 60.00
_cell_angle_beta 60.00
_cell_angle_gamma 60.00
loop_
_symmetry_equiv_pos_as_xyz
'x,y,z'
loop_
_atom_site_label
_atom_site_type_symbol
_atom_site_fract_x
_atom_site_fract_y
_atom_site_fract_z
Nb1 Nb 0.0678 0.0678 0.6822
Nb2 Nb 0.0678 0.6822 0.0678
Nb3 Nb 0.0678 0.6822 0.6822
Nb4 Nb 0.3178 0.3178 0.9322
Nb5 Nb 0.3178 0.9322 0.3178
Nb6 Nb 0.3178 0.9322 0.9322
Nb7 Nb 0.6822 0.0678 0.0678
Nb8 Nb 0.6822 0.0678 0.6822
Nb9 Nb 0.6822 0.6822 0.0678
Nb10 Nb 0.9322 0.3178 0.3178
Nb11 Nb 0.9322 0.3178 0.9322
Nb12 Nb 0.9322 0.9322 0.3178
Cr1 Cr 0.0000 0.5000 0.5000
Cr2 Cr 0.2966 0.2966 0.2966
Cr3 Cr 0.2966 0.2966 0.6102
Cr4 Cr 0.2966 0.6102 0.2966
Cr5 Cr 0.3898 0.7034 0.7034
Cr6 Cr 0.5000 0.0000 0.5000
Cr7 Cr 0.5000 0.5000 0.0000
Cr8 Cr 0.5000 0.5000 0.5000
Cr9 Cr 0.6102 0.2966 0.2966
Cr10 Cr 0.7034 0.3898 0.7034
Cr11 Cr 0.7034 0.7034 0.3898
Cr12 Cr 0.7034 0.7034 0.7034
C1 C 0.0000 0.0000 0.0000
C2 C 0.0000 0.0000 0.5000
C3 C 0.0000 0.5000 0.0000
C4 C 0.5000 0.0000 0.0000
```